For Pr2Sm6Tl, a crystal structure in Alexandria, relaxed with PBE gives the theoretical powder XRD pattern in this record (Cu Ka).

Structural model:
```
data_Pr2Sm6Tl
_chemical_formula_sum 'Pr4 Sm12 Tl2'
_space_group_name_H-M_alt 'P 1'
_space_group_IT_number 1
_space_group_name_Hall 'P 1'
_cell_length_a 10.119
_cell_length_b 10.565
_cell_length_c 5.622
_cell_angle_alpha 90.00
_cell_angle_beta 90.00
_cell_angle_gamma 90.00
loop_
_atom_site_label
_atom_site_type_symbol
_atom_site_fract_x
_atom_site_fract_y
_atom_site_fract_z
Pr1 Pr 0.196 0.244 0.000
Pr2 Pr 0.304 0.744 0.500
Pr3 Pr 0.696 0.256 0.500
Pr4 Pr 0.804 0.756 0.000
Sm1 Sm 0.021 0.316 0.500
Sm2 Sm 0.139 0.894 0.000
Sm3 Sm 0.181 0.570 0.000
Sm4 Sm 0.319 0.070 0.500
Sm5 Sm 0.361 0.394 0.500
Sm6 Sm 0.479 0.816 0.000
Sm7 Sm 0.521 0.184 0.000
Sm8 Sm 0.639 0.606 0.500
Sm9 Sm 0.681 0.930 0.500
Sm10 Sm 0.819 0.430 0.000
Sm11 Sm 0.861 0.106 0.000
Sm12 Sm 0.979 0.684 0.500
Tl1 Tl 0.000 0.000 0.500
Tl2 Tl 0.500 0.500 0.000
```

The 8 most intense peaks (2θ = 10–80°), sorted by position:
index	two_theta	Rel. int.
0 3 1	29.9	26.8
3 0 1	30.9	100.0
1 3 1	31.2	49.1
0 0 2	31.8	42.4
3 3 0	36.9	13.5
2 3 2	45.0	16.4
1 6 1	55.4	17.7
3 0 3	56.1	14.3